Theoretical PXRD pattern
Compound: VSO4F3
Radiation: CuKα
Structure: the PBE+U geometry in the Materials Project
Lines closer than 0.1° are merged.

Crystal structure
abc: 10.642 8.207 7.185
angles: 90.00 90.00 90.00
Sites, in units of the cell vectors:
V 0.000 0.000 0.000
V 0.000 0.000 0.500
V 0.500 0.500 0.000
V 0.500 0.500 0.500
S 0.000 0.321 0.250
S 0.000 0.679 0.750
S 0.500 0.179 0.750
S 0.500 0.821 0.250
O 0.056 0.195 0.104
O 0.056 0.805 0.604
O 0.102 0.406 0.335
O 0.102 0.594 0.835
O 0.398 0.094 0.835
O 0.398 0.906 0.335
O 0.444 0.305 0.604
O 0.444 0.695 0.104
O 0.556 0.305 0.896
O 0.556 0.695 0.396
O 0.602 0.094 0.665
O 0.602 0.906 0.165
O 0.898 0.406 0.165
O 0.898 0.594 0.665
O 0.944 0.195 0.396
O 0.944 0.805 0.896
F 0.000 0.094 0.750
F 0.000 0.906 0.250
F 0.158 0.059 0.468
F 0.158 0.941 0.968
F 0.342 0.441 0.968
F 0.342 0.559 0.468
F 0.500 0.406 0.250
F 0.500 0.594 0.750
F 0.658 0.441 0.532
F 0.658 0.559 0.032
F 0.842 0.059 0.032
F 0.842 0.941 0.532

Top 10 peaks for 10° ≤ 2θ ≤ 90°, by intensity:
16.7°, rel. 100; 13.6°, rel. 73; 18.4°, rel. 58; 28.4°, rel. 43; 25.0°, rel. 13; 30.2°, rel. 13; 33.1°, rel. 13; 21.7°, rel. 9; 33.8°, rel. 9; 39.1°, rel. 8

***

Theoretical PXRD pattern
Compound: Nd2FeAs2O
Radiation: CuKα
Structure: the PBE+U geometry in the Materials Project
Lines closer than 0.1° are merged.

Crystal structure
abc: 3.314 3.314 15.291
angles: 90.00 90.00 90.00
Sites, in units of the cell vectors:
Nd 0.000 0.000 0.137
Nd 0.000 0.000 0.863
Fe 0.000 0.000 0.500
As 0.000 0.000 0.341
As 0.000 0.000 0.659
O 0.000 0.000 0.000

Top 10 peaks for 10° ≤ 2θ ≤ 90°, by intensity:
26.9°, rel. 100; 38.4°, rel. 38; 35.9°, rel. 31; 23.3°, rel. 23; 44.9°, rel. 23; 62.7°, rel. 23; 55.5°, rel. 21; 74.0°, rel. 17; 45.4°, rel. 16; 53.1°, rel. 14

***

Theoretical PXRD pattern
Compound: Fe3P2O16
Radiation: CuKα
Structure: the PBE+U geometry in the Materials Project
Lines closer than 0.1° are merged.

Crystal structure
abc: 9.031 9.031 4.437
angles: 102.94 102.94 104.97
Sites, in units of the cell vectors:
Fe 0.000 0.000 0.000
Fe 0.395 0.605 0.000
Fe 0.605 0.395 0.000
P 0.324 0.324 0.308
P 0.676 0.676 0.692
O 0.057 0.874 0.349
O 0.126 0.943 0.651
O 0.178 0.178 0.263
O 0.214 0.695 0.852
O 0.268 0.450 0.173
O 0.305 0.786 0.148
O 0.403 0.403 0.685
O 0.450 0.268 0.173
O 0.550 0.732 0.827
O 0.597 0.597 0.315
O 0.695 0.214 0.852
O 0.732 0.550 0.827
O 0.786 0.305 0.148
O 0.822 0.822 0.737
O 0.874 0.057 0.349
O 0.943 0.126 0.651

Top 10 peaks for 10° ≤ 2θ ≤ 90°, by intensity:
12.4°, rel. 100; 17.3°, rel. 58; 27.4°, rel. 27; 26.8°, rel. 24; 10.6°, rel. 23; 37.4°, rel. 19; 21.5°, rel. 17; 32.5°, rel. 14; 41.1°, rel. 11; 32.3°, rel. 10

***

Theoretical PXRD pattern
Compound: Ca4Al5FeSi6H2O26
Radiation: CuKα
Structure: the PBE+U geometry in the Materials Project
Lines closer than 0.1° are merged.

Crystal structure
abc: 8.976 5.680 10.264
angles: 90.00 115.31 90.00
Sites, in units of the cell vectors:
Ca 0.000 0.000 0.000
Ca 0.151 0.000 0.732
Ca 0.632 0.500 0.421
Ca 0.783 0.500 0.155
Al 0.103 0.000 0.353
Al 0.389 0.250 0.576
Al 0.389 0.750 0.576
Al 0.393 0.249 0.079
Al 0.393 0.751 0.079
Fe 0.683 0.500 0.799
Si 0.053 0.500 0.529
Si 0.078 0.500 0.854
Si 0.209 0.500 0.262
Si 0.573 0.000 0.895
Si 0.714 0.000 0.304
Si 0.729 0.000 0.625
H 0.331 0.000 0.252
H 0.453 0.500 0.905
O 0.025 0.500 0.679
O 0.093 0.263 0.228
O 0.093 0.737 0.228
O 0.155 0.253 0.533
O 0.155 0.747 0.533
O 0.186 0.262 0.921
O 0.186 0.738 0.921
O 0.311 0.000 0.150
O 0.329 0.500 0.175
O 0.332 0.000 0.446
O 0.352 0.500 0.434
O 0.432 0.000 0.722
O 0.438 0.500 0.706
O 0.454 0.000 0.981
O 0.474 0.500 0.007
O 0.602 0.235 0.234
O 0.602 0.765 0.234
O 0.623 0.244 0.618
O 0.623 0.756 0.618
O 0.694 0.232 0.934
O 0.694 0.768 0.934
O 0.758 0.000 0.477
O 0.874 0.500 0.398
O 0.882 0.000 0.283
O 0.907 0.000 0.757
O 0.918 0.500 0.887

Top 10 peaks for 10° ≤ 2θ ≤ 90°, by intensity:
30.5°, rel. 100; 37.1°, rel. 55; 34.2°, rel. 42; 31.5°, rel. 40; 55.5°, rel. 38; 25.3°, rel. 32; 65.8°, rel. 31; 33.0°, rel. 31; 17.5°, rel. 29; 48.1°, rel. 24

***

Theoretical PXRD pattern
Compound: Ni3AgP3H2O12
Radiation: CuKα
Structure: the PBE+U geometry in the Materials Project
Lines closer than 0.1° are merged.

Crystal structure
abc: 8.538 8.538 6.514
angles: 106.44 106.44 91.15
Sites, in units of the cell vectors:
Ni 0.125 0.450 0.877
Ni 0.225 0.775 0.750
Ni 0.450 0.125 0.377
Ni 0.550 0.875 0.623
Ni 0.775 0.225 0.250
Ni 0.875 0.550 0.123
Ag 0.460 0.540 0.250
Ag 0.540 0.460 0.750
P 0.165 0.391 0.387
P 0.181 0.819 0.250
P 0.391 0.165 0.887
P 0.609 0.835 0.113
P 0.819 0.181 0.750
P 0.835 0.609 0.613
H 0.108 0.122 0.308
H 0.122 0.108 0.808
H 0.878 0.892 0.192
H 0.892 0.878 0.692
O 0.002 0.214 0.767
O 0.044 0.231 0.343
O 0.100 0.463 0.191
O 0.169 0.515 0.614
O 0.214 0.002 0.267
O 0.221 0.709 0.037
O 0.231 0.044 0.843
O 0.291 0.779 0.463
O 0.337 0.338 0.895
O 0.338 0.337 0.395
O 0.463 0.100 0.691
O 0.485 0.831 0.886
O 0.515 0.169 0.114
O 0.537 0.900 0.309
O 0.662 0.663 0.605
O 0.663 0.662 0.105
O 0.709 0.221 0.537
O 0.769 0.956 0.157
O 0.779 0.291 0.963
O 0.786 0.998 0.733
O 0.831 0.485 0.386
O 0.900 0.537 0.809
O 0.956 0.769 0.657
O 0.998 0.786 0.233

Top 10 peaks for 10° ≤ 2θ ≤ 90°, by intensity:
10.9°, rel. 100; 33.0°, rel. 70; 33.7°, rel. 49; 35.5°, rel. 36; 34.4°, rel. 35; 29.6°, rel. 35; 31.0°, rel. 31; 32.8°, rel. 29; 30.0°, rel. 28; 35.1°, rel. 25